For Ba3NiF12, a structure optimized by DFT (PBE+U) gives the theoretical powder diffractogram in this record (Cu Kα (λ = 1.5418 Å)).

Top 12 peaks for 2θ = 10–80°, low angle first:
Position (°2θ)	Rel. int.
13.38	496
16.39	809
19.30	791
24.23	237
25.67	238
26.95	381
27.88	303
31.67	1000
33.13	875
38.33	421
39.17	674
52.70	345

Structure:
a = 7.277 Å, b = 7.277 Å, c = 7.276 Å
α = 101.42°, β = 101.42°, γ = 123.16°
Element x y z (fractional)
Ba 0.000 0.000 0.000
Ba 0.000 0.500 0.500
Ba 0.500 0.000 0.500
Ni 0.500 0.500 0.500
F 0.023 0.607 0.090
F 0.080 0.863 0.314
F 0.137 0.920 0.686
F 0.288 0.509 0.305
F 0.393 0.977 0.910
F 0.491 0.712 0.695
F 0.509 0.288 0.305
F 0.607 0.023 0.090
F 0.712 0.491 0.695
F 0.863 0.080 0.314
F 0.920 0.137 0.686
F 0.977 0.393 0.910